The following is a computed powder diffraction line list of Tb4In2H. It was derived from a structure optimized by DFT (PBE), using CuKα.

Structural model:
```
data_Tb4In2H
_space_group_name_H-M_alt 'P 1 21/m 1'
_space_group_IT_number 11
_cell_length_a 6.049
_cell_length_b 6.772
_cell_length_c 9.062
_cell_angle_alpha 90.00
_cell_angle_beta 104.72
_cell_angle_gamma 90.00
loop_
_space_group_symop_operation_xyz
'x,y,z'
'-x,-y,-z'
'-x,y+1/2,-z'
'x,-y+1/2,z'
loop_
_atom_site_label
_atom_site_type_symbol
_atom_site_fract_x
_atom_site_fract_y
_atom_site_fract_z
Tb1 Tb 0.181 0.250 0.067
Tb2 Tb 0.266 0.750 0.375
Tb3 Tb 0.274 0.501 0.732
In1 In 0.214 0.250 0.419
In2 In 0.345 0.750 0.043
H1 H 0.079 0.250 0.801
```

Largest 10 diffraction maxima, by angle, 2θ from 15° to 90°:
2θ (°), Rel. int., index
30.6, 100, 2 0 0
30.9, 53, 1 2 -1
33.4, 28, 2 1 0
33.4, 98, 1 2 1
37.8, 32, 1 0 3
49.6, 22, 2 2 2
51.1, 16, 3 1 -3
52.9, 14, 3 2 -1
54.2, 14, 0 4 0
63.5, 26, 2 4 0


The following is a computed powder diffraction line list of Tb4In3H. It was derived from a structure optimized by DFT (PBE), using CuKα.

Structural model:
```
data_Tb4In3H
_space_group_name_H-M_alt 'P m n 21'
_space_group_IT_number 31
_cell_length_a 7.057
_cell_length_b 10.419
_cell_length_c 6.178
_cell_angle_alpha 90.00
_cell_angle_beta 90.00
_cell_angle_gamma 90.00
loop_
_space_group_symop_operation_xyz
'x,y,z'
'-x+1/2,-y,z+1/2'
'-x,y,z'
'x+1/2,-y,z+1/2'
loop_
_atom_site_label
_atom_site_type_symbol
_atom_site_fract_x
_atom_site_fract_y
_atom_site_fract_z
Tb1 Tb 0.000 0.053 0.000
Tb2 Tb 0.000 0.851 0.479
Tb3 Tb 0.246 0.383 0.698
In1 In 0.000 0.141 0.515
In2 In 0.208 0.321 0.199
H1 H 0.000 0.733 0.191
```

Largest 10 diffraction maxima, by angle, 2θ from 15° to 90°:
2θ (°), Rel. int., index
25.7, 27, 0 3 0
26.7, 100, 2 1 0
30.2, 68, 0 1 2
32.2, 38, 1 3 1
34.4, 20, 0 4 0
36.3, 33, 2 3 0
38.7, 74, 2 0 2
39.0, 28, 0 3 2
39.2, 24, 2 3 1
52.8, 22, 2 4 2


The following is a computed powder diffraction line list of In2TeH2. It was derived from a structure optimized by DFT (PBE), using CuKα.

Structural model:
```
data_In2TeH2
_space_group_name_H-M_alt 'P -1'
_space_group_IT_number 2
_cell_length_a 4.492
_cell_length_b 4.849
_cell_length_c 5.766
_cell_angle_alpha 97.72
_cell_angle_beta 90.13
_cell_angle_gamma 117.35
loop_
_space_group_symop_operation_xyz
'x,y,z'
'-x,-y,-z'
loop_
_atom_site_label
_atom_site_type_symbol
_atom_site_fract_x
_atom_site_fract_y
_atom_site_fract_z
In1 In 0.143 0.288 0.354
Te1 Te 0.500 0.000 0.000
H1 H 0.308 0.618 0.146
```

Largest 10 diffraction maxima, by angle, 2θ from 15° to 90°:
2θ (°), Rel. int., index
24.1, 64, 0 1 -1
28.3, 100, 1 0 1
37.4, 41, 1 0 -2
37.6, 40, 1 -1 2
40.2, 19, 2 -1 0
40.7, 18, 0 1 2
47.5, 10, 2 -2 1
47.9, 20, 0 0 3
58.5, 12, 2 0 2
65.8, 14, 3 -1 1


The following is a computed powder diffraction line list of Ti6In3H. It was derived from a structure optimized by DFT (PBE), using CuKα.

Structural model:
```
data_Ti6In3H
_space_group_name_H-M_alt 'C 1 2/m 1'
_space_group_IT_number 12
_cell_length_a 9.668
_cell_length_b 5.694
_cell_length_c 7.089
_cell_angle_alpha 90.00
_cell_angle_beta 109.50
_cell_angle_gamma 90.00
loop_
_space_group_symop_operation_xyz
'x,y,z'
'-x,-y,-z'
'-x,y,-z'
'x,-y,z'
'x+1/2,y+1/2,z'
'-x+1/2,-y+1/2,-z'
'-x+1/2,y+1/2,-z'
'x+1/2,-y+1/2,z'
loop_
_atom_site_label
_atom_site_type_symbol
_atom_site_fract_x
_atom_site_fract_y
_atom_site_fract_z
Ti1 Ti 0.104 0.248 0.405
Ti2 Ti 0.179 0.500 0.778
In1 In 0.000 0.000 0.000
In2 In 0.209 0.000 0.782
H1 H 0.000 0.500 0.500
```

Largest 10 diffraction maxima, by angle, 2θ from 15° to 90°:
2θ (°), Rel. int., index
18.4, 41, 1 1 0
24.6, 75, 1 1 1
32.1, 35, 3 1 -1
34.2, 55, 0 2 1
36.3, 23, 3 1 -2
37.2, 100, 4 0 -1
38.4, 68, 2 0 2
38.6, 64, 2 0 -3
42.0, 42, 2 2 1
42.1, 52, 2 2 -2


The following is a computed powder diffraction line list of Ti4InH. It was derived from a structure optimized by DFT (PBE), using CuKα.

Structural model:
```
data_Ti4InH
_space_group_name_H-M_alt 'C 1 2/m 1'
_space_group_IT_number 12
_cell_length_a 14.176
_cell_length_b 5.704
_cell_length_c 4.845
_cell_angle_alpha 90.00
_cell_angle_beta 109.80
_cell_angle_gamma 90.00
loop_
_space_group_symop_operation_xyz
'x,y,z'
'-x,-y,-z'
'-x,y,-z'
'x,-y,z'
'x+1/2,y+1/2,z'
'-x+1/2,-y+1/2,-z'
'-x+1/2,y+1/2,-z'
'x+1/2,-y+1/2,z'
loop_
_atom_site_label
_atom_site_type_symbol
_atom_site_fract_x
_atom_site_fract_y
_atom_site_fract_z
Ti1 Ti 0.000 0.242 0.000
Ti2 Ti 0.108 0.251 0.611
Ti3 Ti 0.197 0.000 0.196
In1 In 0.189 0.500 0.190
H1 H 0.077 0.000 0.299
```

Largest 10 diffraction maxima, by angle, 2θ from 15° to 90°:
2θ (°), Rel. int., index
24.1, 17, 1 1 -1
25.4, 17, 3 1 0
34.2, 57, 2 2 0
37.1, 84, 2 0 -2
38.5, 50, 4 0 1
38.6, 50, 6 0 -1
42.0, 100, 2 2 1
51.3, 34, 4 2 -2
64.8, 16, 8 2 0
78.6, 21, 6 4 -1


The following is a computed powder diffraction line list of Ti9In3H2. It was derived from a structure optimized by DFT (PBE), using CuKα.

Structural model:
```
data_Ti9In3H2
_space_group_name_H-M_alt 'P 63/m m c'
_space_group_IT_number 194
_space_group_name_Hall '-P 6c 2c'
_cell_length_a 5.9018
_cell_length_b 5.9018
_cell_length_c 14.4164
_cell_angle_alpha 90.00
_cell_angle_beta 90.00
_cell_angle_gamma 120.00
loop_
_atom_site_label
_atom_site_type_symbol
_atom_site_fract_x
_atom_site_fract_y
_atom_site_fract_z
Ti1 Ti 0.0013 0.5007 0.2500
Ti2 Ti 0.1659 0.3317 0.5824
In1 In 0.0000 0.0000 0.2500
In2 In 0.3333 0.6667 0.0847
H1 H 0.3333 0.6667 0.6625
```

Largest 10 diffraction maxima, by angle, 2θ from 15° to 90°:
2θ (°), Rel. int., index
21.3, 16, 1 0 2
25.4, 16, 1 0 3
30.3, 24, 1 1 0
35.7, 24, 2 0 1
37.4, 100, 0 0 6
40.0, 66, 2 0 3
43.4, 39, 2 0 4
48.9, 12, 1 1 6
63.0, 24, 2 2 0
75.6, 33, 2 2 6


The following is a computed powder diffraction line list of Ti5In2H4. It was derived from a structure optimized by DFT (PBE), using CuKα.

Structural model:
```
data_Ti5In2H4
_space_group_name_H-M_alt 'F m m m'
_space_group_IT_number 69
_space_group_name_Hall '-F 2 2'
_cell_length_a 5.500
_cell_length_b 9.473
_cell_length_c 10.603
_cell_angle_alpha 90.00
_cell_angle_beta 90.00
_cell_angle_gamma 90.00
loop_
_atom_site_label
_atom_site_type_symbol
_atom_site_fract_x
_atom_site_fract_y
_atom_site_fract_z
Ti1 Ti 0.000 0.000 0.000
Ti2 Ti 0.250 0.250 0.000
Ti3 Ti 0.250 0.250 0.250
In1 In 0.000 0.000 0.361
H1 H 0.000 0.176 0.120
```

Largest 10 diffraction maxima, by angle, 2θ from 15° to 90°:
2θ (°), Rel. int., index
20.5, 43, 1 1 1
31.5, 93, 1 1 3
37.8, 100, 2 2 0
38.0, 50, 0 4 0
38.9, 54, 0 2 4
41.7, 44, 1 3 3
47.7, 31, 2 0 4
62.5, 28, 2 4 4
68.5, 18, 2 6 0
83.5, 17, 2 2 8


The following is a computed powder diffraction line list of Ti6In2H. It was derived from a structure optimized by DFT (PBE), using CuKα.

Structural model:
```
data_Ti6In2H
_space_group_name_H-M_alt 'F m -3 m'
_space_group_IT_number 225
_space_group_name_Hall '-F 4 2 3'
_cell_length_a 8.327
_cell_length_b 8.327
_cell_length_c 8.327
_cell_angle_alpha 90.00
_cell_angle_beta 90.00
_cell_angle_gamma 90.00
loop_
_atom_site_label
_atom_site_type_symbol
_atom_site_fract_x
_atom_site_fract_y
_atom_site_fract_z
Ti1 Ti 0.000 0.000 0.249
In1 In 0.250 0.250 0.250
H1 H 0.000 0.000 0.500
```

Largest 10 diffraction maxima, by angle, 2θ from 15° to 90°:
2θ (°), Rel. int., index
21.3, 21, 2 0 0
30.4, 19, 2 2 0
37.4, 100, 2 2 2
43.5, 48, 4 0 0
48.9, 10, 4 2 0
53.9, 8, 4 2 2
63.2, 29, 4 4 0
67.5, 5, 6 0 0
75.8, 33, 6 2 2
79.8, 10, 4 4 4


The following is a computed powder diffraction line list of TiIn3H. It was derived from a structure optimized by DFT (PBE), using CuKα.

Structural model:
```
data_TiIn3H
_space_group_name_H-M_alt 'P m -3 m'
_space_group_IT_number 221
_space_group_name_Hall '-P 4 2 3'
_cell_length_a 4.488
_cell_length_b 4.488
_cell_length_c 4.488
_cell_angle_alpha 90.00
_cell_angle_beta 90.00
_cell_angle_gamma 90.00
loop_
_atom_site_label
_atom_site_type_symbol
_atom_site_fract_x
_atom_site_fract_y
_atom_site_fract_z
Ti1 Ti 0.000 0.000 0.000
In1 In 0.000 0.500 0.500
H1 H 0.500 0.500 0.500
```

Largest 10 diffraction maxima, by angle, 2θ from 15° to 90°:
2θ (°), Rel. int., index
19.8, 9, 1 0 0
28.1, 7, 1 1 0
34.6, 100, 1 1 1
40.2, 50, 2 0 0
45.2, 5, 2 1 0
49.8, 3, 2 1 1
58.1, 32, 2 2 0
69.5, 37, 3 1 1
73.0, 11, 2 2 2
86.8, 5, 4 0 0


The following is a computed powder diffraction line list of TlIn2H2. It was derived from a structure optimized by DFT (PBE), using CuKα.

Structural model:
```
data_TlIn2H2
_space_group_name_H-M_alt 'P 1'
_space_group_IT_number 1
_cell_length_a 3.216
_cell_length_b 3.609
_cell_length_c 8.670
_cell_angle_alpha 81.54
_cell_angle_beta 79.77
_cell_angle_gamma 83.07
loop_
_space_group_symop_operation_xyz
'x,y,z'
loop_
_atom_site_label
_atom_site_type_symbol
_atom_site_fract_x
_atom_site_fract_y
_atom_site_fract_z
Tl1 Tl 0.000 0.000 0.000
In1 In 0.302 0.283 0.366
In2 In 0.683 0.713 0.635
H1 H 0.350 0.811 0.255
H2 H 0.635 0.185 0.745
```

Largest 10 diffraction maxima, by angle, 2θ from 15° to 90°:
2θ (°), Rel. int., index
21.0, 36, 0 0 2
28.5, 100, 0 1 -1
30.7, 95, 0 1 2
31.7, 72, 0 0 3
31.9, 82, 1 0 -1
32.6, 80, 1 0 2
35.4, 63, 1 1 1
40.1, 59, 1 -1 0
46.3, 24, 1 1 -2
50.2, 23, 1 1 4


The following is a computed powder diffraction line list of Tl2InH. It was derived from a structure optimized by DFT (PBE), using CuKα.

Structural model:
```
data_Tl2InH
_space_group_name_H-M_alt 'I -4 2 d'
_space_group_IT_number 122
_space_group_name_Hall 'I -4 2bw'
_cell_length_a 5.816
_cell_length_b 5.816
_cell_length_c 12.861
_cell_angle_alpha 90.00
_cell_angle_beta 90.00
_cell_angle_gamma 90.00
loop_
_atom_site_label
_atom_site_type_symbol
_atom_site_fract_x
_atom_site_fract_y
_atom_site_fract_z
Tl1 Tl 0.124 0.250 0.125
In1 In 0.000 0.000 0.500
H1 H 0.000 0.000 0.000
```

Largest 10 diffraction maxima, by angle, 2θ from 15° to 90°:
2θ (°), Rel. int., index
25.7, 100, 1 1 2
25.8, 53, 1 0 3
27.7, 17, 0 0 4
33.8, 22, 2 0 2
35.2, 86, 2 1 1
38.3, 19, 1 0 5
40.6, 28, 2 1 3
41.9, 30, 2 0 4
47.9, 19, 1 1 6
57.8, 19, 3 1 4


The following is a computed powder diffraction line list of TlInH4. It was derived from a structure optimized by DFT (PBE), using CuKα.

Structural model:
```
data_TlInH4
_space_group_name_H-M_alt 'I 41/a m d'
_space_group_IT_number 141
_cell_length_a 7.633
_cell_length_b 7.633
_cell_length_c 7.224
_cell_angle_alpha 90.00
_cell_angle_beta 90.00
_cell_angle_gamma 90.00
loop_
_space_group_symop_operation_xyz
'x,y,z'
'-x,-y,-z'
'-y+1/4,x+3/4,z+1/4'
'y+1/4,-x+3/4,-z+1/4'
'-x+1/2,-y,z+1/2'
'x+1/2,y,-z+1/2'
'y+1/4,-x+1/4,z+3/4'
'-y+1/4,x+1/4,-z+3/4'
'x,-y,-z'
'-x,y,z'
'-y+1/4,-x+1/4,-z+3/4'
'y+1/4,x+1/4,z+3/4'
'-x+1/2,y,-z+1/2'
'x+1/2,-y,z+1/2'
'y+1/4,x+3/4,-z+1/4'
'-y+1/4,-x+3/4,z+1/4'
'x+1/2,y+1/2,z+1/2'
'-x+1/2,-y+1/2,-z+1/2'
'-y+3/4,x+1/4,z+3/4'
'y+3/4,-x+1/4,-z+3/4'
'-x,-y+1/2,z'
'x,y+1/2,-z'
'y+3/4,-x+3/4,z+1/4'
'-y+3/4,x+3/4,-z+1/4'
'x+1/2,-y+1/2,-z+1/2'
'-x+1/2,y+1/2,z+1/2'
'-y+3/4,-x+3/4,-z+1/4'
'y+3/4,x+3/4,z+1/4'
'-x,y+1/2,-z'
'x,-y+1/2,z'
'y+3/4,x+1/4,-z+3/4'
'-y+3/4,-x+1/4,z+3/4'
loop_
_atom_site_label
_atom_site_type_symbol
_atom_site_fract_x
_atom_site_fract_y
_atom_site_fract_z
Tl1 Tl 0.000 0.250 0.375
In1 In 0.000 0.250 0.875
H1 H 0.000 0.063 0.725
```

Largest 10 diffraction maxima, by angle, 2θ from 15° to 90°:
2θ (°), Rel. int., index
23.3, 93, 2 0 0
29.8, 100, 1 1 2
33.2, 37, 2 2 0
45.2, 65, 3 1 2
47.7, 14, 4 0 0
53.7, 19, 4 2 0
56.4, 17, 2 0 4
57.2, 16, 3 3 2
67.8, 19, 5 1 2
76.8, 14, 4 2 4


The following is a computed powder diffraction line list of Tl7InH12. It was derived from a structure optimized by DFT (PBE), using CuKα.

Structural model:
```
data_Tl7InH12
_space_group_name_H-M_alt 'P -1'
_space_group_IT_number 2
_cell_length_a 6.532
_cell_length_b 8.177
_cell_length_c 8.229
_cell_angle_alpha 60.93
_cell_angle_beta 79.16
_cell_angle_gamma 71.32
loop_
_space_group_symop_operation_xyz
'x,y,z'
'-x,-y,-z'
loop_
_atom_site_label
_atom_site_type_symbol
_atom_site_fract_x
_atom_site_fract_y
_atom_site_fract_z
Tl1 Tl 0.000 0.000 0.000
Tl2 Tl 0.300 0.184 0.594
Tl3 Tl 0.347 0.625 0.310
Tl4 Tl 0.486 0.289 0.156
In1 In 0.500 0.000 0.000
H1 H 0.042 0.013 0.356
H2 H 0.051 0.638 0.673
H3 H 0.052 0.635 0.001
H4 H 0.071 0.326 0.002
H5 H 0.152 0.029 0.348
H6 H 0.161 0.623 0.703
```

Largest 10 diffraction maxima, by angle, 2θ from 15° to 90°:
2θ (°), Rel. int., index
16.3, 72, 1 1 1
28.8, 43, -1 1 2
31.0, 41, 2 0 1
33.0, 100, 0 1 -2
33.6, 37, 1 3 1
33.8, 42, 2 1 -1
34.0, 41, 1 2 3
34.5, 33, 0 2 3
35.2, 28, 0 3 1
45.3, 26, -2 2 2